For Ce2SmP2N6, a PBE-relaxed structure gives the theoretical PXRD pattern in this record (Cu Ka).
Kinematic intensities with the Lorentz-polarization factor, no thermal factor.

Crystal structure
```
data_Ce2SmP2N6
_chemical_formula_sum 'Ce2 Sm1 P2 N6'
_symmetry_space_group_name_H-M 'P -3'
_symmetry_Int_Tables_number 147
_cell_length_a 5.9551
_cell_length_b 5.9551
_cell_length_c 5.8839
_cell_angle_alpha 90.00
_cell_angle_beta 90.00
_cell_angle_gamma 120.00
loop_
_symmetry_equiv_pos_as_xyz
'x,y,z'
'-x,-y,-z'
'-y,x-y,z'
'y,-x+y,-z'
'-x+y,-x,z'
'x-y,x,-z'
loop_
_atom_site_label
_atom_site_type_symbol
_atom_site_fract_x
_atom_site_fract_y
_atom_site_fract_z
Ce1 Ce 0.3333 0.6667 0.3299
Sm1 Sm 0.0000 0.0000 0.5000
P1 P 0.3333 0.6667 0.8033
N1 N 0.0854 0.3947 0.6979
```

Most intense lines, 2θ from 5° to 70°, most intense first:
(1 1 0), 2θ = 30.0°, d = 2.978 Å, intensity 100; (1 0 2), 2θ = 35.1°, d = 2.555 Å, intensity 72; (0 0 1), 2θ = 15.1°, d = 5.884 Å, intensity 71; (1 0 1), 2θ = 22.9°, d = 3.878 Å, intensity 49; (2 -1 1), 2θ = 33.7°, d = 2.657 Å, intensity 47; (2 1 2), 2θ = 56.6°, d = 1.625 Å, intensity 36; (0 2 2), 2θ = 46.9°, d = 1.939 Å, intensity 35; (3 0 0), 2θ = 53.3°, d = 1.719 Å, intensity 25; (0 2 1), 2θ = 38.1°, d = 2.362 Å, intensity 23; (2 1 1), 2θ = 49.2°, d = 1.850 Å, intensity 20; (1 0 3), 2θ = 49.7°, d = 1.833 Å, intensity 17; (2 2 0), 2θ = 62.4°, d = 1.489 Å, intensity 13



For CeSnPN, a PBE-relaxed structure gives the theoretical PXRD pattern in this record (Cu Ka).
Kinematic intensities with the Lorentz-polarization factor, no thermal factor.

Crystal structure
```
data_CeSnPN
_chemical_formula_sum 'Ce6 Sn6 P6 N6'
_symmetry_space_group_name_H-M 'R -3 m'
_symmetry_Int_Tables_number 166
_symmetry_space_group_name_Hall '-R 3 2"'
_cell_length_a 3.9208
_cell_length_b 3.9208
_cell_length_c 38.8581
_cell_angle_alpha 90.00
_cell_angle_beta 90.00
_cell_angle_gamma 120.00
loop_
_atom_site_label
_atom_site_type_symbol
_atom_site_fract_x
_atom_site_fract_y
_atom_site_fract_z
Ce1 Ce 0.0000 0.0000 0.1303
Sn1 Sn 0.0000 0.0000 0.2938
P1 P 0.0000 0.0000 0.4093
N1 N 0.0000 0.0000 0.1893
```

Most intense lines, 2θ from 5° to 70°, most intense first:
(1 0 7), 2θ = 30.9°, d = 2.897 Å, intensity 100; (1 1 0), 2θ = 46.3°, d = 1.960 Å, intensity 49; (0 1 5), 2θ = 28.7°, d = 3.112 Å, intensity 48; (0 0 12), 2θ = 27.5°, d = 3.238 Å, intensity 37; (1 1 12), 2θ = 54.7°, d = 1.677 Å, intensity 34; (0 1 2), 2θ = 26.7°, d = 3.345 Å, intensity 29; (1 0 19), 2θ = 52.2°, d = 1.752 Å, intensity 23; (1 0 4), 2θ = 27.8°, d = 3.205 Å, intensity 23; (0 2 7), 2θ = 56.7°, d = 1.624 Å, intensity 18; (0 1 11), 2θ = 36.7°, d = 2.448 Å, intensity 18; (0 1 17), 2θ = 48.0°, d = 1.896 Å, intensity 16; (0 0 3), 2θ = 6.8°, d = 12.953 Å, intensity 15



For SrCe2P2N6, a PBE-relaxed structure gives the theoretical PXRD pattern in this record (Cu Ka).
Kinematic intensities with the Lorentz-polarization factor, no thermal factor.

Crystal structure
```
data_SrCe2P2N6
_chemical_formula_sum 'Sr1 Ce2 P2 N6'
_symmetry_space_group_name_H-M 'P -1'
_symmetry_Int_Tables_number 2
_cell_length_a 5.9005
_cell_length_b 5.9537
_cell_length_c 6.2592
_cell_angle_alpha 115.59
_cell_angle_beta 92.23
_cell_angle_gamma 116.41
loop_
_symmetry_equiv_pos_as_xyz
'x,y,z'
'-x,-y,-z'
loop_
_atom_site_label
_atom_site_type_symbol
_atom_site_fract_x
_atom_site_fract_y
_atom_site_fract_z
Sr1 Sr 0.0000 0.0000 0.0000
Ce1 Ce 0.2898 0.4288 0.7015
P1 P 0.3561 0.8060 0.3287
N1 N 0.1152 0.8641 0.2990
N2 N 0.2919 0.5363 0.3829
N3 N 0.4840 0.2225 0.8825
```

Most intense lines, 2θ from 5° to 70°, most intense first:
(0 1 -2), 2θ = 28.7°, d = 3.115 Å, intensity 100; (1 -1 0), 2θ = 18.2°, d = 4.871 Å, intensity 44; (0 1 1), 2θ = 31.2°, d = 2.870 Å, intensity 42; (1 -2 1), 2θ = 30.2°, d = 2.963 Å, intensity 33; (1 0 1), 2θ = 27.4°, d = 3.261 Å, intensity 33; (2 -1 0), 2θ = 30.3°, d = 2.945 Å, intensity 30; (2 0 -1), 2θ = 34.5°, d = 2.597 Å, intensity 29; (-1 1 1), 2θ = 27.6°, d = 3.233 Å, intensity 22; (1 2 -3), 2θ = 51.6°, d = 1.773 Å, intensity 22; (1 -1 3), 2θ = 49.2°, d = 1.853 Å, intensity 20; (0 1 0), 2θ = 19.2°, d = 4.612 Å, intensity 20; (1 -2 2), 2θ = 35.5°, d = 2.527 Å, intensity 18



For Ce8Te4P3N, a PBE-relaxed structure gives the theoretical PXRD pattern in this record (Cu Ka).
Kinematic intensities with the Lorentz-polarization factor, no thermal factor.

Crystal structure
```
data_Ce8Te4P3N
_chemical_formula_sum 'Ce24 Te12 P9 N3'
_symmetry_space_group_name_H-M 'R -3 m'
_symmetry_Int_Tables_number 166
_symmetry_space_group_name_Hall '-R 3 2"'
_cell_length_a 8.2795
_cell_length_b 8.2795
_cell_length_c 21.6443
_cell_angle_alpha 90.00
_cell_angle_beta 90.00
_cell_angle_gamma 120.00
loop_
_atom_site_label
_atom_site_type_symbol
_atom_site_fract_x
_atom_site_fract_y
_atom_site_fract_z
Ce1 Ce 0.0000 0.0000 0.2383
Ce2 Ce 0.0213 0.5106 0.2340
Te1 Te 0.0000 0.0000 0.0000
Te2 Te 0.0000 0.5000 0.0000
P1 P 0.0000 0.5000 0.5000
N1 N 0.0000 0.0000 0.5000
```

Most intense lines, 2θ from 5° to 70°, most intense first:
(0 2 4), 2θ = 29.9°, d = 2.989 Å, intensity 100; (2 2 0), 2θ = 43.7°, d = 2.070 Å, intensity 37; (2 0 8), 2θ = 41.8°, d = 2.160 Å, intensity 30; (2 0 5), 2θ = 32.4°, d = 2.761 Å, intensity 24; (4 0 4), 2θ = 53.9°, d = 1.702 Å, intensity 18; (2 2 9), 2θ = 58.9°, d = 1.569 Å, intensity 16; (0 2 1), 2θ = 25.2°, d = 3.537 Å, intensity 14; (2 0 2), 2θ = 26.2°, d = 3.403 Å, intensity 12; (0 0 9), 2θ = 37.4°, d = 2.405 Å, intensity 10; (0 2 13), 2θ = 61.4°, d = 1.510 Å, intensity 10; (0 4 8), 2θ = 62.1°, d = 1.494 Å, intensity 9; (2 2 12), 2θ = 69.1°, d = 1.360 Å, intensity 7